Diffraction record for MgGaRu. The X-ray diffraction stick pattern is simulated, not measured: it uses a GGA-PBE-relaxed structure and a wavelength of 1.5418 Å.
Neutral-atom scattering factors, no anomalous dispersion.

Structural model:
Cell: 4.378 3.178 6.999 Å, 90.00 107.99 90.00°
Sites, in units of the cell vectors:
Mg1 0.000 0.000 0.000
Mg2 0.192 0.500 0.380
Ga1 0.373 0.000 0.743
Ga2 0.679 0.000 0.354
Ru1 0.529 0.500 0.058
Ru2 0.830 0.500 0.656

Top 10 peaks for 10 to 80 degrees two-theta, most intense first:
| 2theta | I_rel | h k l |
| --- | --- | --- |
| 40.54 | 100 | 1 1 1 |
| 21.37 | 36 | 1 0 -1 |
| 41.25 | 26 | 2 0 -1 |
| 39.19 | 19 | 0 1 2 |
| 40.66 | 18 | 0 0 3 |
| 58.07 | 15 | 0 2 0 |
| 73.67 | 9 | 2 2 -1 |
| 74.62 | 8 | 3 1 0 |
| 74.80 | 8 | 3 1 -3 |
| 52.54 | 7 | 1 0 -4 |